No. 1
Starting from DFT lattice parameters and positions (PBE), the powder X-ray diffraction pattern of Ba2AlSn3O7 was calculated for Cu Kα (weighted mean of Kα1 and Kα2).

Principal peaks in the range 2θ = 10–90°, low angle first:
d_spacing	2theta	I/Imax
3.379	26.37	303
3.010	29.68	1000
2.890	30.94	652
2.830	31.62	671
2.180	41.42	328
2.081	43.49	284
1.836	49.67	336
1.727	53.03	317

Crystal structure
```
Ba2AlSn3O7
1.0
4.1615 0.0000 0.0000
0.0000 4.3597 0.0000
0.0000 0.0000 11.5800
Ba Al Sn O
2 1 3 7
Direct
0.0000 0.0000 0.1892
0.0000 0.0000 0.8108
0.0000 0.0000 0.5000
0.5000 0.5000 0.0000
0.5000 0.5000 0.3784
0.5000 0.5000 0.6216
0.0000 0.5000 0.3754
0.0000 0.5000 0.6246
0.5000 0.0000 0.0000
0.5000 0.0000 0.3806
0.5000 0.0000 0.6194
0.5000 0.5000 0.1990
0.5000 0.5000 0.8010
```



No. 2
Starting from DFT lattice parameters and positions (PBE), the powder X-ray diffraction pattern of Ba2Ti2AlTlO7 was calculated for Cu Kα (weighted mean of Kα1 and Kα2).

Principal peaks in the range 2θ = 10–90°, low angle first:
d_spacing	2theta	I/Imax
3.320	26.85	446
3.089	28.90	1000
2.933	30.48	687
2.908	30.74	292
2.764	32.39	371
2.663	33.65	344
1.917	47.41	354
1.678	54.70	227

Crystal structure
```
Ba2Ti2AlTlO7
1.0
3.8408 0.0000 0.0000
0.1545 3.8445 0.0000
0.8087 0.7789 14.5408
Ba Ti Al Tl O
2 2 1 1 7
Direct
0.0000 0.0000 0.0000
0.0514 0.0582 0.6601
0.4485 0.4478 0.2044
0.5843 0.5981 0.4519
0.0197 0.0262 0.3291
0.5287 0.5324 0.8282
0.0028 0.0079 0.8311
0.0977 0.6448 0.4098
0.3964 0.9309 0.2466
0.4878 0.4862 0.0829
0.5489 0.5591 0.5734
0.6288 0.1139 0.4078
0.9330 0.3985 0.2462
```



No. 3
Starting from DFT lattice parameters and positions (PBE), the powder X-ray diffraction pattern of Ba2Ti2AlTlO7 was calculated for Cu Kα (weighted mean of Kα1 and Kα2).

Principal peaks in the range 2θ = 10–90°, low angle first:
d_spacing	2theta	I/Imax
3.333	26.75	241
2.985	29.94	1000
2.634	34.04	416
2.593	34.59	187
1.976	45.92	104
1.862	48.92	170
1.810	50.41	200
1.580	58.42	337

Crystal structure
```
Ba2Ti2AlTlO7
1.0
14.9584 0.0000 0.0000
0.0000 2.6322 2.6336
0.0000 -2.6322 2.6336
Ba Ti Al Tl O
2 2 1 1 7
Direct
0.1696 0.0000 0.0000
0.8304 0.0000 0.0000
0.3701 0.4999 0.4999
0.6299 0.4999 0.4999
0.5000 0.0092 0.0092
0.0000 0.4999 0.4999
0.0000 0.9999 0.9999
0.2499 0.5002 0.5002
0.4177 0.4973 0.9978
0.4177 0.9978 0.4973
0.5823 0.4973 0.9978
0.5823 0.9978 0.4973
0.7501 0.5002 0.5002
```



No. 4
Starting from DFT lattice parameters and positions (PBE), the powder X-ray diffraction pattern of Ba5Tm2ZrAl2O13 was calculated for Cu Kα (weighted mean of Kα1 and Kα2).

Principal peaks in the range 2θ = 10–90°, low angle first:
d_spacing	2theta	I/Imax
5.094	17.41	186
3.257	27.38	265
3.003	29.75	1000
2.949	30.30	638
2.104	42.98	314
1.734	52.79	201
1.723	53.14	260
1.502	61.78	190

Crystal structure
```
Ba5Tm2ZrAl2O13
1.0
6.0070 0.0000 0.0000
-3.0035 5.2022 0.0000
0.0000 0.0000 25.0640
Ba Tm Zr Al O
10 4 2 4 26
Direct
0.0000 0.0000 0.1384
0.0000 0.0000 0.3616
0.0000 0.0000 0.6384
0.0000 0.0000 0.8616
0.3333 0.6667 0.0426
0.3333 0.6667 0.4574
0.3333 0.6667 0.7500
0.6667 0.3333 0.2500
0.6667 0.3333 0.5426
0.6667 0.3333 0.9574
0.3333 0.6667 0.6038
0.3333 0.6667 0.8962
0.6667 0.3333 0.1038
0.6667 0.3333 0.3962
0.0000 0.0000 0.0000
0.0000 0.0000 0.5000
0.3333 0.6667 0.1808
0.3333 0.6667 0.3192
0.6667 0.3333 0.6808
0.6667 0.3333 0.8192
0.0091 0.5045 0.1581
0.0091 0.5045 0.3419
0.1632 0.3264 0.5510
0.1632 0.3264 0.9490
0.1632 0.8368 0.5510
0.1632 0.8368 0.9490
0.3264 0.1632 0.0510
0.3264 0.1632 0.4490
0.3333 0.6667 0.2500
0.4955 0.5045 0.1581
0.4955 0.5045 0.3419
0.4955 0.9909 0.1581
0.4955 0.9909 0.3419
0.5045 0.0091 0.6581
0.5045 0.0091 0.8419
0.5045 0.4955 0.6581
0.5045 0.4955 0.8419
0.6667 0.3333 0.7500
0.6736 0.8368 0.5510
0.6736 0.8368 0.9490
0.8368 0.1632 0.0510
0.8368 0.1632 0.4490
0.8368 0.6736 0.0510
0.8368 0.6736 0.4490
0.9909 0.4955 0.6581
0.9909 0.4955 0.8419
```



No. 5
Starting from DFT lattice parameters and positions (PBE), the powder X-ray diffraction pattern of Ba5Y2ZrAl2O13 was calculated for Cu Kα (weighted mean of Kα1 and Kα2).

Principal peaks in the range 2θ = 10–90°, low angle first:
d_spacing	2theta	I/Imax
3.287	27.13	223
3.024	29.54	1000
2.978	30.01	555
2.226	40.53	173
2.122	42.61	287
1.746	52.40	199
1.737	52.70	217
1.512	61.31	186

Crystal structure
```
Ba5Y2ZrAl2O13
1.0
6.0483 0.0000 0.0000
-3.0241 5.2379 0.0000
0.0000 0.0000 25.3338
Ba Y Zr Al O
10 4 2 4 26
Direct
0.0000 0.0000 0.1368
0.0000 0.0000 0.3632
0.0000 0.0000 0.6368
0.0000 0.0000 0.8632
0.3333 0.6667 0.0414
0.3333 0.6667 0.4586
0.3333 0.6667 0.7500
0.6667 0.3333 0.2500
0.6667 0.3333 0.5414
0.6667 0.3333 0.9586
0.3333 0.6667 0.6042
0.3333 0.6667 0.8958
0.6667 0.3333 0.1042
0.6667 0.3333 0.3958
0.0000 0.0000 0.0000
0.0000 0.0000 0.5000
0.3333 0.6667 0.1813
0.3333 0.6667 0.3187
0.6667 0.3333 0.6813
0.6667 0.3333 0.8187
0.0115 0.5058 0.1587
0.0115 0.5058 0.3413
0.1622 0.3244 0.5501
0.1622 0.3244 0.9499
0.1622 0.8378 0.5501
0.1622 0.8378 0.9499
0.3244 0.1622 0.0501
0.3244 0.1622 0.4499
0.3333 0.6667 0.2500
0.4942 0.5058 0.1587
0.4942 0.5058 0.3413
0.4942 0.9885 0.1587
0.4942 0.9885 0.3413
0.5058 0.0115 0.6587
0.5058 0.0115 0.8413
0.5058 0.4942 0.6587
0.5058 0.4942 0.8413
0.6667 0.3333 0.7500
0.6756 0.8378 0.5501
0.6756 0.8378 0.9499
0.8378 0.1622 0.0501
0.8378 0.1622 0.4499
0.8378 0.6756 0.0501
0.8378 0.6756 0.4499
0.9885 0.4942 0.6587
0.9885 0.4942 0.8413
```



No. 6
Starting from DFT lattice parameters and positions (PBE), the powder X-ray diffraction pattern of Ba3Al2P4 was calculated for Cu Kα (weighted mean of Kα1 and Kα2).

Principal peaks in the range 2θ = 10–90°, low angle first:
d_spacing	2theta	I/Imax
3.692	24.11	1000
3.448	25.84	316
3.304	26.99	377
3.012	29.66	789
2.966	30.13	826
2.679	33.45	359
2.612	34.33	588
1.975	45.96	284

Crystal structure
```
Ba3Al2P4
1.0
7.3727 0.0000 0.0000
0.0000 11.6672 0.0000
0.0000 0.0000 11.7016
Ba Al P
12 8 16
Direct
0.0791 0.0792 0.1402
0.0791 0.4208 0.1402
0.0970 0.2500 0.7663
0.4030 0.7500 0.2663
0.4209 0.5792 0.6402
0.4209 0.9208 0.6402
0.5791 0.0792 0.3598
0.5791 0.4208 0.3598
0.5970 0.2500 0.7337
0.9030 0.7500 0.2337
0.9209 0.5792 0.8598
0.9209 0.9208 0.8598
0.0585 0.1250 0.4643
0.0585 0.3750 0.4643
0.4415 0.6250 0.9643
0.4415 0.8750 0.9643
0.5585 0.1250 0.0357
0.5585 0.3750 0.0357
0.9415 0.6250 0.5357
0.9415 0.8750 0.5357
0.0890 0.7500 0.6681
0.1536 0.5565 0.3877
0.1536 0.9435 0.3877
0.1939 0.7500 0.0276
0.3061 0.2500 0.5276
0.3464 0.0565 0.8877
0.3464 0.4435 0.8877
0.4110 0.2500 0.1681
0.5890 0.7500 0.8319
0.6536 0.5565 0.1123
0.6536 0.9435 0.1123
0.6939 0.7500 0.4724
0.8061 0.2500 0.9724
0.8464 0.0565 0.6123
0.8464 0.4435 0.6123
0.9110 0.2500 0.3319
```



No. 7
Starting from DFT lattice parameters and positions (PBE), the powder X-ray diffraction pattern of Ba5Al5Pb was calculated for Cu Kα (weighted mean of Kα1 and Kα2).

Principal peaks in the range 2θ = 10–90°, low angle first:
d_spacing	2theta	I/Imax
5.298	16.73	119
3.853	23.09	178
3.058	29.21	1000
2.368	38.00	139
2.162	41.78	135
1.766	51.78	319
1.596	57.76	132
1.156	83.65	123

Crystal structure
```
Ba5Al5Pb
1.0
6.1180 0.0000 0.0000
-3.0590 5.2983 0.0000
0.0000 0.0000 11.2235
Ba Al Pb
5 5 1
Direct
0.0000 0.0000 0.0000
0.3333 0.6667 0.2009
0.3333 0.6667 0.7991
0.6667 0.3333 0.3294
0.6667 0.3333 0.6706
0.0000 0.0000 0.3233
0.0000 0.0000 0.6767
0.1784 0.3569 0.5000
0.1784 0.8216 0.5000
0.6431 0.8216 0.5000
0.6667 0.3333 0.0000
```